For Ac3CdIr8, a cell relaxed with GGA-PBE gives the theoretical XRD peak list in this record (copper Kα).
Kinematic intensities with the Lorentz-polarization factor, no thermal factor.

Top 12 peaks for 2θ from 5° to 70°, by intensity:
| 2θ/deg | d/Å | intensity | hkl |
| --- | --- | --- | --- |
| 38.28 | 2.351 | 1000 | 2 0 2 |
| 40.05 | 2.251 | 397 | 0 2 4 |
| 61.82 | 1.501 | 330 | 3 0 6 |
| 68.01 | 1.379 | 286 | 2 2 0 |
| 32.47 | 2.757 | 272 | 1 1 0 |
| 57.93 | 1.592 | 105 | 3 0 0 |
| 19.72 | 4.502 | 50 | 0 0 6 |
| 46.59 | 1.950 | 47 | 2 0 8 |
| 51.05 | 1.789 | 13 | 0 1 14 |
| 24.88 | 3.578 | 12 | 0 1 5 |
| 29.76 | 3.002 | 11 | 1 0 7 |
| 18.87 | 4.702 | 8 | 1 0 1 |

Atomic structure:
```
data_Ac3CdIr8
_cell_length_a 5.5134
_cell_length_b 5.5134
_cell_length_c 27.0217
_cell_angle_alpha 90.00
_cell_angle_beta 90.00
_cell_angle_gamma 120.00
_symmetry_space_group_name_H-M 'R 3 m'
_symmetry_Int_Tables_number 160
_symmetry_space_group_name_Hall 'R 3 -2"'
loop_
_atom_site_label
_atom_site_fract_x
_atom_site_fract_y
_atom_site_fract_z
Ac1 0.0000 0.0000 0.0000
Ac2 0.0000 0.0000 0.1274
Ac3 0.0000 0.0000 0.6202
Cd1 0.0000 0.0000 0.4968
Ir1 0.0000 0.0000 0.3123
Ir2 0.0000 0.0000 0.8124
Ir3 0.0016 0.5008 0.0637
Ir4 0.1671 0.3341 0.8937
```

***

For Ac6Cd2Ir, a cell relaxed with GGA-PBE gives the theoretical XRD peak list in this record (copper Kα).
Kinematic intensities with the Lorentz-polarization factor, no thermal factor.

Top 12 peaks for 2θ from 5° to 70°, by intensity:
| 2θ/deg | d/Å | intensity | hkl |
| --- | --- | --- | --- |
| 28.29 | 3.155 | 1000 | 2 2 2 |
| 30.33 | 2.947 | 897 | 1 3 2 |
| 31.33 | 2.855 | 699 | 0 0 4 |
| 31.07 | 2.879 | 521 | 3 1 2 |
| 30.89 | 2.894 | 465 | 2 3 1 |
| 38.26 | 2.352 | 357 | 2 3 3 |
| 26.74 | 3.333 | 287 | 3 1 0 |
| 52.81 | 1.733 | 285 | 5 3 2 |
| 50.10 | 1.821 | 259 | 0 6 0 |
| 46.99 | 1.934 | 253 | 0 3 5 |
| 53.89 | 1.701 | 211 | 2 2 6 |
| 60.29 | 1.535 | 208 | 0 6 4 |

Atomic structure:
```
data_Ac6Cd2Ir
_cell_length_a 10.5008
_cell_length_b 10.9234
_cell_length_c 11.4201
_cell_angle_alpha 90.00
_cell_angle_beta 90.00
_cell_angle_gamma 90.00
_symmetry_space_group_name_H-M 'I m m 2'
_symmetry_Int_Tables_number 44
_symmetry_space_group_name_Hall 'I 2 -2'
loop_
_atom_site_label
_atom_site_fract_x
_atom_site_fract_y
_atom_site_fract_z
Ac1 0.0000 0.1641 0.0000
Ac2 0.0000 0.1642 0.4530
Ac3 0.1699 0.5000 0.0020
Ac4 0.1699 0.5000 0.4508
Ac5 0.2168 0.3174 0.7265
Cd1 0.0000 0.3649 0.2264
Cd2 0.1312 0.0000 0.7264
Ir1 0.0000 0.0000 0.2267
Ir2 0.0000 0.5000 0.7268
```

***

For AcLuCdIr, a cell relaxed with GGA-PBE gives the theoretical XRD peak list in this record (copper Kα).
Kinematic intensities with the Lorentz-polarization factor, no thermal factor.

Top 10 peaks for 2θ from 5° to 70°, by intensity:
| 2θ/deg | d/Å | intensity | hkl |
| --- | --- | --- | --- |
| 34.30 | 2.615 | 1000 | 2 2 0 |
| 61.42 | 1.509 | 376 | 4 2 2 |
| 49.29 | 1.849 | 181 | 4 0 0 |
| 20.81 | 4.270 | 35 | 1 1 1 |
| 40.46 | 2.230 | 21 | 3 1 1 |
| 24.07 | 3.697 | 19 | 2 0 0 |
| 54.05 | 1.697 | 10 | 3 3 1 |
| 55.58 | 1.654 | 9 | 4 2 0 |
| 65.60 | 1.423 | 8 | 5 1 1 |
| 42.34 | 2.135 | 6 | 2 2 2 |

Atomic structure:
```
data_AcLuCdIr
_cell_length_a 7.3950
_cell_length_b 7.3950
_cell_length_c 7.3950
_cell_angle_alpha 90.00
_cell_angle_beta 90.00
_cell_angle_gamma 90.00
_symmetry_space_group_name_H-M 'F -4 3 m'
_symmetry_Int_Tables_number 216
_symmetry_space_group_name_Hall 'F -4 2 3'
loop_
_atom_site_label
_atom_site_fract_x
_atom_site_fract_y
_atom_site_fract_z
Ac1 0.0000 0.0000 0.0000
Lu1 0.0000 0.0000 0.5000
Cd1 0.2500 0.2500 0.2500
Ir1 0.2500 0.2500 0.7500
```

***

For Ac4CdIrN, a cell relaxed with GGA-PBE gives the theoretical XRD peak list in this record (copper Kα).
Kinematic intensities with the Lorentz-polarization factor, no thermal factor.

Top 12 peaks for 2θ from 5° to 70°, by intensity:
| 2θ/deg | d/Å | intensity | hkl |
| --- | --- | --- | --- |
| 31.58 | 2.833 | 1000 | 0 2 2 |
| 27.33 | 3.263 | 942 | 1 2 0 |
| 27.53 | 3.240 | 853 | 1 0 2 |
| 30.09 | 2.970 | 773 | 1 1 2 |
| 10.11 | 8.751 | 406 | 0 0 1 |
| 41.56 | 2.173 | 290 | 3 1 0 |
| 46.12 | 1.968 | 248 | 1 3 2 |
| 57.14 | 1.612 | 229 | 1 4 2 |
| 49.02 | 1.858 | 218 | 0 4 0 |
| 39.26 | 2.295 | 199 | 0 2 3 |
| 28.83 | 3.097 | 199 | 2 1 0 |
| 38.97 | 2.311 | 198 | 1 0 -4 |

Atomic structure:
```
data_Ac4CdIrN
_cell_length_a 7.1970
_cell_length_b 7.4331
_cell_length_c 9.2434
_cell_angle_alpha 90.00
_cell_angle_beta 108.78
_cell_angle_gamma 90.00
_symmetry_space_group_name_H-M 'P 1 21/m 1'
_symmetry_Int_Tables_number 11
_symmetry_space_group_name_Hall '-P 2yb'
loop_
_atom_site_label
_atom_site_fract_x
_atom_site_fract_y
_atom_site_fract_z
Ac1 0.0101 0.0045 0.2156
Ac2 0.4284 0.7500 0.6512
Ac3 0.4437 0.7500 0.0706
Cd1 0.2363 0.2500 0.5604
Ir1 0.2237 0.2500 0.0506
N1 0.2213 0.7500 0.8091
```

***

For AcLa12Cd3, a cell relaxed with GGA-PBE gives the theoretical XRD peak list in this record (copper Kα).
Kinematic intensities with the Lorentz-polarization factor, no thermal factor.

Top 12 peaks for 2θ from 5° to 70°, by intensity:
| 2θ/deg | d/Å | intensity | hkl |
| --- | --- | --- | --- |
| 30.11 | 2.968 | 1000 | 1 1 4 |
| 34.91 | 2.570 | 503 | 2 0 0 |
| 50.19 | 1.818 | 349 | 2 2 0 |
| 59.69 | 1.549 | 283 | 3 1 4 |
| 59.56 | 1.552 | 123 | 1 1 12 |
| 62.59 | 1.484 | 116 | 2 2 8 |
| 27.78 | 3.211 | 18 | 1 1 3 |
| 46.95 | 1.935 | 13 | 2 0 7 |
| 55.18 | 1.665 | 12 | 1 1 11 |
| 25.99 | 3.428 | 10 | 0 0 6 |
| 30.37 | 2.943 | 9 | 0 0 7 |
| 21.59 | 4.115 | 8 | 0 0 5 |

Atomic structure:
```
data_AcLa12Cd3
_cell_length_a 5.1364
_cell_length_b 5.1364
_cell_length_c 20.6004
_cell_angle_alpha 90.00
_cell_angle_beta 90.00
_cell_angle_gamma 90.00
_symmetry_space_group_name_H-M 'P 4/m m m'
_symmetry_Int_Tables_number 123
_symmetry_space_group_name_Hall '-P 4 2'
loop_
_atom_site_label
_atom_site_fract_x
_atom_site_fract_y
_atom_site_fract_z
Ac1 0.0000 0.0000 0.0000
La1 0.0000 0.5000 0.1331
La2 0.0000 0.5000 0.3780
La3 0.5000 0.5000 0.0000
La4 0.5000 0.5000 0.2559
La5 0.5000 0.5000 0.5000
Cd1 0.0000 0.0000 0.2573
Cd2 0.0000 0.0000 0.5000
```

***

For AcLa2Cd9, a cell relaxed with GGA-PBE gives the theoretical XRD peak list in this record (copper Kα).
Kinematic intensities with the Lorentz-polarization factor, no thermal factor.

Top 12 peaks for 2θ from 5° to 70°, by intensity:
| 2θ/deg | d/Å | intensity | hkl |
| --- | --- | --- | --- |
| 34.61 | 2.592 | 1000 | 1 1 6 |
| 33.90 | 2.644 | 321 | 0 2 1 |
| 29.12 | 3.066 | 314 | 1 1 0 |
| 55.24 | 1.663 | 257 | 0 3 6 |
| 60.38 | 1.533 | 240 | 2 2 0 |
| 29.77 | 3.001 | 228 | 0 1 8 |
| 37.07 | 2.425 | 211 | 0 0 12 |
| 37.22 | 2.416 | 191 | 2 0 5 |
| 27.24 | 3.274 | 184 | 1 0 7 |
| 56.15 | 1.638 | 162 | 2 0 14 |
| 34.33 | 2.612 | 138 | 2 0 2 |
| 50.49 | 1.808 | 80 | 2 1 7 |

Atomic structure:
```
data_AcLa2Cd9
_cell_length_a 6.1324
_cell_length_b 6.1324
_cell_length_c 29.1025
_cell_angle_alpha 90.00
_cell_angle_beta 90.00
_cell_angle_gamma 120.00
_symmetry_space_group_name_H-M 'R -3 m'
_symmetry_Int_Tables_number 166
_symmetry_space_group_name_Hall '-R 3 2"'
loop_
_atom_site_label
_atom_site_fract_x
_atom_site_fract_y
_atom_site_fract_z
Ac1 0.0000 0.0000 0.0000
La1 0.0000 0.0000 0.1430
Cd1 0.0000 0.0000 0.3354
Cd2 0.0000 0.0000 0.5000
Cd3 0.0071 0.5036 0.9158
```

***

For Ac2La6Cd, a cell relaxed with GGA-PBE gives the theoretical XRD peak list in this record (copper Kα).
Kinematic intensities with the Lorentz-polarization factor, no thermal factor.

Top 12 peaks for 2θ from 5° to 70°, by intensity:
| 2θ/deg | d/Å | intensity | hkl |
| --- | --- | --- | --- |
| 30.75 | 2.908 | 1000 | 3 0 0 |
| 29.08 | 3.071 | 931 | 1 1 1 |
| 30.87 | 2.897 | 467 | 2 0 1 |
| 35.76 | 2.511 | 401 | 2 1 1 |
| 57.13 | 1.612 | 348 | 3 0 2 |
| 51.39 | 1.778 | 334 | 3 2 1 |
| 27.05 | 3.297 | 307 | 2 1 0 |
| 53.65 | 1.708 | 237 | 4 1 1 |
| 42.83 | 2.111 | 194 | 2 2 1 |
| 64.10 | 1.453 | 175 | 6 0 0 |
| 46.89 | 1.938 | 146 | 0 0 2 |
| 54.68 | 1.679 | 110 | 3 3 0 |

Atomic structure:
```
data_Ac2La6Cd
_cell_length_a 10.0720
_cell_length_b 10.0720
_cell_length_c 3.8751
_cell_angle_alpha 90.00
_cell_angle_beta 90.00
_cell_angle_gamma 120.00
_symmetry_space_group_name_H-M 'P -6 2 m'
_symmetry_Int_Tables_number 189
_symmetry_space_group_name_Hall 'P -6 -2'
loop_
_atom_site_label
_atom_site_fract_x
_atom_site_fract_y
_atom_site_fract_z
Ac1 0.3333 0.6667 0.0000
La1 0.0000 0.3653 0.5000
La2 0.0000 0.7280 0.0000
Cd1 0.0000 0.0000 0.5000
```

***

For Ac5LaCd6, a cell relaxed with GGA-PBE gives the theoretical XRD peak list in this record (copper Kα).
Kinematic intensities with the Lorentz-polarization factor, no thermal factor.

Top 12 peaks for 2θ from 5° to 70°, by intensity:
| 2θ/deg | d/Å | intensity | hkl |
| --- | --- | --- | --- |
| 31.21 | 2.866 | 1000 | 2 0 -1 |
| 55.48 | 1.656 | 196 | 3 2 0 |
| 55.56 | 1.654 | 130 | 2 4 -1 |
| 44.65 | 2.029 | 125 | 2 0 2 |
| 55.65 | 1.652 | 65 | 3 2 -3 |
| 21.90 | 4.059 | 62 | 0 2 0 |
| 44.84 | 2.022 | 62 | 2 0 -4 |
| 65.00 | 1.435 | 60 | 2 4 2 |
| 65.17 | 1.431 | 60 | 4 0 -2 |
| 38.47 | 2.340 | 32 | 0 2 3 |
| 21.98 | 4.043 | 31 | 1 0 -2 |
| 50.27 | 1.815 | 24 | 1 4 1 |

Atomic structure:
```
data_Ac5LaCd6
_cell_length_a 5.7262
_cell_length_b 8.1090
_cell_length_c 9.0563
_cell_angle_alpha 90.00
_cell_angle_beta 108.15
_cell_angle_gamma 90.00
_symmetry_space_group_name_H-M 'P 1 2/m 1'
_symmetry_Int_Tables_number 10
_symmetry_space_group_name_Hall '-P 2y'
loop_
_atom_site_label
_atom_site_fract_x
_atom_site_fract_y
_atom_site_fract_z
Ac1 0.0000 0.0000 0.0000
Ac2 0.3331 0.0000 0.6661
Ac3 0.3331 0.5000 0.6664
La1 0.0000 0.5000 0.0000
Cd1 0.1637 0.2533 0.3271
Cd2 0.5000 0.2576 0.0000
```

***

For AcLa2Mg2Cd2, a cell relaxed with GGA-PBE gives the theoretical XRD peak list in this record (copper Kα).
Kinematic intensities with the Lorentz-polarization factor, no thermal factor.

Top 12 peaks for 2θ from 5° to 70°, by intensity:
| 2θ/deg | d/Å | intensity | hkl |
| --- | --- | --- | --- |
| 35.09 | 2.557 | 1000 | 1 1 0 |
| 32.42 | 2.761 | 909 | 0 1 8 |
| 29.95 | 2.983 | 901 | 1 0 7 |
| 20.29 | 4.376 | 774 | 1 0 1 |
| 61.11 | 1.517 | 323 | 1 1 15 |
| 48.52 | 1.876 | 294 | 2 0 8 |
| 61.27 | 1.513 | 290 | 1 2 8 |
| 46.79 | 1.942 | 264 | 0 2 7 |
| 59.80 | 1.546 | 253 | 2 1 7 |
| 62.95 | 1.477 | 180 | 3 0 0 |
| 40.87 | 2.208 | 132 | 0 2 1 |
| 54.94 | 1.671 | 113 | 2 1 1 |

Atomic structure:
```
data_AcLa2Mg2Cd2
_cell_length_a 5.1149
_cell_length_b 5.1149
_cell_length_c 28.2517
_cell_angle_alpha 90.00
_cell_angle_beta 90.00
_cell_angle_gamma 120.00
_symmetry_space_group_name_H-M 'R -3 m'
_symmetry_Int_Tables_number 166
_symmetry_space_group_name_Hall '-R 3 2"'
loop_
_atom_site_label
_atom_site_fract_x
_atom_site_fract_y
_atom_site_fract_z
Ac1 0.0000 0.0000 0.0000
La1 0.0000 0.0000 0.1338
Mg1 0.0000 0.0000 0.4095
Cd1 0.0000 0.0000 0.2591
```

***

For AcLaNdCd, a cell relaxed with GGA-PBE gives the theoretical XRD peak list in this record (copper Kα).
Kinematic intensities with the Lorentz-polarization factor, no thermal factor.

Top 12 peaks for 2θ from 5° to 70°, by intensity:
| 2θ/deg | d/Å | intensity | hkl |
| --- | --- | --- | --- |
| 30.18 | 2.961 | 1000 | 1 0 2 |
| 32.61 | 2.746 | 448 | 1 1 0 |
| 56.70 | 1.624 | 338 | 2 1 2 |
| 52.02 | 1.758 | 165 | 1 1 4 |
| 46.79 | 1.942 | 164 | 2 0 0 |
| 24.91 | 3.575 | 128 | 1 0 1 |
| 62.76 | 1.480 | 93 | 2 0 4 |
| 39.37 | 2.288 | 92 | 0 0 4 |
| 44.39 | 2.041 | 81 | 1 1 3 |
| 55.49 | 1.656 | 71 | 1 0 5 |
| 29.27 | 3.051 | 61 | 0 0 3 |
| 68.33 | 1.373 | 53 | 2 2 0 |

Atomic structure:
```
data_AcLaNdCd
_cell_length_a 3.8830
_cell_length_b 3.8830
_cell_length_c 9.1535
_cell_angle_alpha 90.00
_cell_angle_beta 90.00
_cell_angle_gamma 90.00
_symmetry_space_group_name_H-M 'P 4 m m'
_symmetry_Int_Tables_number 99
_symmetry_space_group_name_Hall 'P 4 -2'
loop_
_atom_site_label
_atom_site_fract_x
_atom_site_fract_y
_atom_site_fract_z
Ac1 0.0000 0.0000 0.0000
La1 0.5000 0.5000 0.7119
Nd1 0.5000 0.5000 0.2826
Cd1 0.0000 0.0000 0.4892
```

***

Copy entry 10 word for word.
For AcLaNdCd, a cell relaxed with GGA-PBE gives the theoretical XRD peak list in this record (copper Kα).
Kinematic intensities with the Lorentz-polarization factor, no thermal factor.

Top 12 peaks for 2θ from 5° to 70°, by intensity:
| 2θ/deg | d/Å | intensity | hkl |
| --- | --- | --- | --- |
| 30.18 | 2.961 | 1000 | 1 0 2 |
| 32.61 | 2.746 | 448 | 1 1 0 |
| 56.70 | 1.624 | 338 | 2 1 2 |
| 52.02 | 1.758 | 165 | 1 1 4 |
| 46.79 | 1.942 | 164 | 2 0 0 |
| 24.91 | 3.575 | 128 | 1 0 1 |
| 62.76 | 1.480 | 93 | 2 0 4 |
| 39.37 | 2.288 | 92 | 0 0 4 |
| 44.39 | 2.041 | 81 | 1 1 3 |
| 55.49 | 1.656 | 71 | 1 0 5 |
| 29.27 | 3.051 | 61 | 0 0 3 |
| 68.33 | 1.373 | 53 | 2 2 0 |

Atomic structure:
```
data_AcLaNdCd
_cell_length_a 3.8830
_cell_length_b 3.8830
_cell_length_c 9.1535
_cell_angle_alpha 90.00
_cell_angle_beta 90.00
_cell_angle_gamma 90.00
_symmetry_space_group_name_H-M 'P 4 m m'
_symmetry_Int_Tables_number 99
_symmetry_space_group_name_Hall 'P 4 -2'
loop_
_atom_site_label
_atom_site_fract_x
_atom_site_fract_y
_atom_site_fract_z
Ac1 0.0000 0.0000 0.0000
La1 0.5000 0.5000 0.7119
Nd1 0.5000 0.5000 0.2826
Cd1 0.0000 0.0000 0.4892
```

***

Number 9 is which compound?
AcLa2Mg2Cd2